For Ba2Ru7O18, a GGA-PBE-relaxed structure gives the computed X-ray powder pattern in this record (Cu Ka).

Atomic structure:
```
data_Ba2Ru7O18
_chemical_formula_sum 'Ba2 Ru7 O18'
_symmetry_space_group_name_H-M 'P -1'
_symmetry_Int_Tables_number 2
_cell_length_a 6.836
_cell_length_b 7.221
_cell_length_c 7.671
_cell_angle_alpha 93.37
_cell_angle_beta 94.41
_cell_angle_gamma 115.76
loop_
_symmetry_equiv_pos_as_xyz
'x,y,z'
'-x,-y,-z'
loop_
_atom_site_label
_atom_site_type_symbol
_atom_site_fract_x
_atom_site_fract_y
_atom_site_fract_z
Ba1 Ba 0.180 0.314 0.381
Ru1 Ru 0.113 0.724 0.116
Ru2 Ru 0.302 0.128 0.816
Ru3 Ru 0.327 0.621 0.803
Ru4 Ru 0.500 0.000 0.500
O1 O 0.009 0.091 0.833
O2 O 0.026 0.446 0.695
O3 O 0.176 0.487 0.014
O4 O 0.216 0.834 0.888
O5 O 0.226 0.002 0.573
O6 O 0.402 0.866 0.252
O7 O 0.405 0.402 0.729
O8 O 0.417 0.236 0.047
O9 O 0.422 0.733 0.585
```

Main lines, low angle first (15° ≤ 2θ ≤ 90°):
two_theta, d/Å, Rel. int., hkl
26.98, 3.305, 100, 1 -2 1
27.91, 3.197, 46, -2 1 1
28.09, 3.177, 85, 1 1 1
28.41, 3.141, 62, 0 1 2
28.87, 3.093, 65, 0 2 -1
30.23, 2.957, 34, 2 0 -1
32.16, 2.783, 68, -2 2 1
32.78, 2.732, 48, 2 0 1
36.79, 2.443, 35, 1 0 -3
53.32, 1.718, 61, 0 2 -4